Pm3NdSc4: theoretical XRD peak list (Cu Kα), based on DFT lattice parameters and positions (PBE).

Top 6 peaks for 2θ from 15° to 90°, in order of rising 2θ:
d [Å], Position (°2θ), I_rel
3.513, 25.35, 45.6
2.954, 30.25, 17.2
2.717, 32.96, 32.5
2.705, 33.12, 100.0
2.596, 34.56, 32.8
1.566, 58.96, 18.5

Structural model:
Cell: 10.869 7.344 5.909 Å, 90.00 90.00 90.00°
Element x y z (fractional)
Pm: 0.000 0.143 0.000
Pm: 0.250 0.143 0.371
Pm: 0.250 0.857 0.871
Pm: 0.500 0.857 0.500
Pm: 0.750 0.143 0.371
Pm: 0.750 0.857 0.871
Nd: 0.000 0.857 0.501
Nd: 0.500 0.143 0.001
Sc: 0.000 0.398 0.516
Sc: 0.000 0.603 0.016
Sc: 0.250 0.397 0.855
Sc: 0.250 0.603 0.355
Sc: 0.500 0.397 0.516
Sc: 0.500 0.602 0.016
Sc: 0.750 0.397 0.855
Sc: 0.750 0.603 0.355



Pm2Nd5Sc: theoretical XRD peak list (Cu Kα), based on DFT lattice parameters and positions (PBE).

Top 6 peaks for 2θ from 15° to 90°, in order of rising 2θ:
d [Å], Position (°2θ), I_rel
2.957, 30.22, 100.0
2.569, 34.92, 34.2
2.546, 35.25, 16.3
1.808, 50.47, 23.4
1.548, 59.74, 28.5
1.538, 60.18, 13.3

Structural model:
Cell: 8.881 8.881 3.628 Å, 90.00 90.00 110.03°
Element x y z (fractional)
Pm: 0.249 0.751 0.000
Pm: 0.751 0.249 0.000
Nd: 0.000 0.000 0.000
Nd: 0.137 0.380 0.500
Nd: 0.380 0.137 0.500
Nd: 0.620 0.863 0.500
Nd: 0.863 0.620 0.500
Sc: 0.500 0.500 0.000



Pm7NdSc3: theoretical XRD peak list (Cu Kα), based on DFT lattice parameters and positions (PBE).

Top 6 peaks for 2θ from 15° to 90°, in order of rising 2θ:
d [Å], Position (°2θ), I_rel
3.413, 26.11, 46.6
3.186, 28.01, 38.2
2.920, 30.61, 71.3
2.851, 31.38, 35.8
2.739, 32.69, 60.0
2.689, 33.32, 100.0

Structural model:
Cell: 8.356 8.356 8.356 Å, 139.08 100.10 93.95°
Element x y z (fractional)
Pm: 0.000 0.000 0.000
Pm: 0.102 0.793 0.309
Pm: 0.304 0.500 0.804
Pm: 0.483 0.793 0.691
Pm: 0.517 0.207 0.309
Pm: 0.696 0.500 0.196
Pm: 0.898 0.207 0.691
Nd: 0.000 0.500 0.500
Sc: 0.291 0.291 0.000
Sc: 0.500 0.000 0.500
Sc: 0.709 0.709 0.000



PmNd2Sc: theoretical XRD peak list (Cu Kα), based on DFT lattice parameters and positions (PBE).

Top 6 peaks for 2θ from 15° to 90°, in order of rising 2θ:
d [Å], Position (°2θ), I_rel
2.910, 30.73, 100.0
2.524, 35.56, 33.8
2.511, 35.75, 16.6
1.780, 51.32, 23.5
1.522, 60.89, 28.0
1.516, 61.14, 13.8

Structural model:
Cell: 5.049 5.049 5.023 Å, 90.00 90.00 90.00°
Element x y z (fractional)
Pm: 0.000 0.000 0.000
Nd: 0.000 0.500 0.500
Nd: 0.500 0.000 0.500
Sc: 0.500 0.500 0.000



Repeat the first record exactly.
Pm3NdSc4: theoretical XRD peak list (Cu Kα), based on DFT lattice parameters and positions (PBE).

Top 6 peaks for 2θ from 15° to 90°, in order of rising 2θ:
d [Å], Position (°2θ), I_rel
3.513, 25.35, 45.6
2.954, 30.25, 17.2
2.717, 32.96, 32.5
2.705, 33.12, 100.0
2.596, 34.56, 32.8
1.566, 58.96, 18.5

Structural model:
Cell: 10.869 7.344 5.909 Å, 90.00 90.00 90.00°
Element x y z (fractional)
Pm: 0.000 0.143 0.000
Pm: 0.250 0.143 0.371
Pm: 0.250 0.857 0.871
Pm: 0.500 0.857 0.500
Pm: 0.750 0.143 0.371
Pm: 0.750 0.857 0.871
Nd: 0.000 0.857 0.501
Nd: 0.500 0.143 0.001
Sc: 0.000 0.398 0.516
Sc: 0.000 0.603 0.016
Sc: 0.250 0.397 0.855
Sc: 0.250 0.603 0.355
Sc: 0.500 0.397 0.516
Sc: 0.500 0.602 0.016
Sc: 0.750 0.397 0.855
Sc: 0.750 0.603 0.355